Simulated X-ray diffraction stick pattern
Compound: NaPbWO4
Radiation: Cu Kα (λ = 1.5418 Å)
Structure: DFT lattice parameters and positions (GGA+U)

Structural model:
Cell lengths 6.4456, 6.0397, 7.5202 Å; angles 90.00, 109.74, 90.00 degrees
Fractional coordinates of all 14 atoms:
Na  0.1918  0.2500  0.4544
Na  0.8082  0.7500  0.5456
Pb  0.0229  0.2500  0.9131
Pb  0.9771  0.7500  0.0869
W  0.3594  0.7500  0.6632
W  0.6406  0.2500  0.3368
O  0.2049  0.5096  0.6943
O  0.2049  0.9904  0.6943
O  0.3508  0.2500  0.1844
O  0.3578  0.7500  0.4218
O  0.6422  0.2500  0.5782
O  0.6492  0.7500  0.8156
O  0.7951  0.0096  0.3057
O  0.7951  0.4904  0.3057

Largest 6 diffraction maxima, by intensity, 10° ≤ 2θ ≤ 80°:
Position (°2θ)  I_rel
21.55  1000
22.29  695
29.25  576
29.58  435
41.05  300
42.53  284